Diffraction record for ThBrF. The powder XRD pattern is theoretical, not measured: it uses a crystal structure in Alexandria, relaxed with GGA-PBE and Cu Kα X-rays.
Peak positions follow from Bragg's law for the DFT cell and can differ from measured ones.

Structural model:
Unit cell a=11.2550 b=3.5101 c=7.8428 alpha=90.00 beta=90.00 gamma=90.00
Space group Pnma (No. 62)
Inequivalent atoms, fractional coordinates:
Th 0.1201 0.2500 0.0576
Br 0.1403 0.7500 0.3745
F 0.0942 0.7500 0.8305

Principal peaks in the range 2θ = 10–90°, sorted by position:
(hkl)  2θ (°)  d_spacing  intensity
1 0 1  13.76  6.435  100.0
2 0 1  19.41  4.572  45.0
0 0 2  22.68  3.921  26.0
1 1 1  28.98  3.081  79.1
2 1 0  30.00  2.978  16.2
4 0 0  31.80  2.814  45.7
1 1 2  35.23  2.547  49.9
3 1 1  36.89  2.436  40.4
2 0 3  37.94  2.371  74.7
3 1 2  42.12  2.145  30.9
5 1 1  49.49  1.842  17.9
6 0 3  60.77  1.524  17.6